No. 1
Computed XRD peak list of NaFe2O4 for λ = 1.5418 Å (Cu Kα), from DFT lattice parameters and positions (PBE+U).
Lines closer than 0.1° are merged.

Largest 8 diffraction maxima, sorted by position, 2θ = 15–90°:
2θ 18.27, I = 100.0; 2θ 35.40, I = 87.0; 2θ 37.03, I = 17.7; 2θ 43.03, I = 52.2; 2θ 56.90, I = 42.0; 2θ 62.48, I = 47.7; 2θ 65.69, I = 12.6; 2θ 89.53, I = 13.3

```
data_NaFe2O4
_cell_length_a 5.9459
_cell_length_b 5.9459
_cell_length_c 5.9459
_cell_angle_alpha 60.00
_cell_angle_beta 60.00
_cell_angle_gamma 60.00
_symmetry_space_group_name_H-M 'P 1'
_symmetry_Int_Tables_number 1
loop_
_symmetry_equiv_pos_as_xyz
'x,y,z'
loop_
_atom_site_label
_atom_site_fract_x
_atom_site_fract_y
_atom_site_fract_z
Na1 0.1250 0.1250 0.1250
Na2 0.8750 0.8750 0.8750
Fe1 0.0000 0.5000 0.5000
Fe2 0.5000 0.0000 0.5000
Fe3 0.5000 0.5000 0.0000
Fe4 0.5000 0.5000 0.5000
O1 0.2717 0.2717 0.2717
O2 0.2717 0.2717 0.6849
O3 0.2717 0.6849 0.2717
O4 0.3151 0.7283 0.7283
O5 0.6849 0.2717 0.2717
O6 0.7283 0.3151 0.7283
O7 0.7283 0.7283 0.3151
O8 0.7283 0.7283 0.7283
```

---

No. 2
Computed XRD peak list of Na2ZrCoP4O14 for λ = 1.5418 Å (Cu Kα), from DFT lattice parameters and positions (PBE+U).
Lines closer than 0.1° are merged.

Largest 8 diffraction maxima, sorted by position, 2θ = 15–90°:
2θ 15.72, I = 99.4; 2θ 19.68, I = 64.7; 2θ 27.24, I = 81.4; 2θ 27.92, I = 100.0; 2θ 28.18, I = 48.8; 2θ 28.77, I = 70.5; 2θ 30.27, I = 97.0; 2θ 31.02, I = 87.4

```
data_Na2ZrCoP4O14
_cell_length_a 6.6200
_cell_length_b 6.6316
_cell_length_c 6.9770
_cell_angle_alpha 66.40
_cell_angle_beta 85.37
_cell_angle_gamma 82.26
_symmetry_space_group_name_H-M 'P 1'
_symmetry_Int_Tables_number 1
loop_
_symmetry_equiv_pos_as_xyz
'x,y,z'
loop_
_atom_site_label
_atom_site_fract_x
_atom_site_fract_y
_atom_site_fract_z
Na1 0.0000 0.0000 0.0000
Na2 0.2442 0.4209 0.6544
Zr1 0.7387 0.8052 0.5947
Co1 0.4251 0.6085 0.0528
P1 0.2245 0.9477 0.5608
P2 0.4640 0.0729 0.1484
P3 0.7009 0.3650 0.4555
P4 0.9515 0.5015 0.0478
O1 0.0270 0.3465 0.9445
O2 0.0570 0.8071 0.5499
O3 0.1083 0.6341 0.0786
O4 0.1498 0.1031 0.6628
O5 0.2879 0.0858 0.3228
O6 0.3986 0.9278 0.0490
O7 0.4152 0.7811 0.6643
O8 0.4787 0.3130 0.0022
O9 0.4926 0.4647 0.3631
O10 0.6611 0.9643 0.2794
O11 0.7026 0.1211 0.6088
O12 0.7601 0.6651 0.9327
O13 0.7786 0.5046 0.5595
O14 0.8637 0.3533 0.2777
```

---

No. 3
Computed XRD peak list of Zn2W3O8 for λ = 1.5418 Å (Cu Kα), from DFT lattice parameters and positions (PBE+U).
Lines closer than 0.1° are merged.

Largest 8 diffraction maxima, sorted by position, 2θ = 15–90°:
2θ 18.96, I = 70.5; 2θ 32.54, I = 23.7; 2θ 33.00, I = 31.7; 2θ 33.96, I = 100.0; 2θ 34.11, I = 31.6; 2θ 43.87, I = 34.6; 2θ 58.07, I = 29.5; 2θ 59.74, I = 30.8

```
data_Zn2W3O8
_cell_length_a 6.3539
_cell_length_b 6.3539
_cell_length_c 9.3611
_cell_angle_alpha 90.00
_cell_angle_beta 90.00
_cell_angle_gamma 120.00
_symmetry_space_group_name_H-M 'P 1'
_symmetry_Int_Tables_number 1
loop_
_symmetry_equiv_pos_as_xyz
'x,y,z'
loop_
_atom_site_label
_atom_site_fract_x
_atom_site_fract_y
_atom_site_fract_z
Zn1 0.3333 0.6667 0.0000
Zn2 0.3333 0.6667 0.3612
Zn3 0.6667 0.3333 0.5000
Zn4 0.6667 0.3333 0.8612
W1 0.1647 0.3295 0.7045
W2 0.1647 0.8353 0.7045
W3 0.3295 0.1647 0.2045
W4 0.6705 0.8353 0.7045
W5 0.8353 0.1647 0.2045
W6 0.8353 0.6705 0.2045
O1 0.0000 0.0000 0.3129
O2 0.0000 0.0000 0.8129
O3 0.0270 0.5135 0.8280
O4 0.1669 0.3338 0.1012
O5 0.1669 0.8331 0.1012
O6 0.3333 0.6667 0.5909
O7 0.3338 0.1669 0.6012
O8 0.4865 0.5135 0.8280
O9 0.4865 0.9730 0.8280
O10 0.5135 0.0270 0.3280
O11 0.5135 0.4865 0.3280
O12 0.6662 0.8331 0.1012
O13 0.6667 0.3333 0.0909
O14 0.8331 0.1669 0.6012
O15 0.8331 0.6662 0.6012
O16 0.9730 0.4865 0.3280
```

---

Q: What is the formula in the first record?
A: NaFe2O4